1.
Simulated PXRD pattern of Hf2Ti5In3 for Cu Kα (weighted mean of Kα1 and Kα2), from a structure optimized by DFT (GGA-PBE).
Intensities are scaled so that the largest is 100.

Cell and atoms:
```
Hf2Ti5In3
1.0
-5.476 6.984 2.683
5.476 -6.984 2.683
5.476 6.984 -2.683
Hf Ti In
4 10 6
Cartesian
0.980 2.730 0.000
6.456 4.254 0.000
-0.980 2.730 2.683
4.496 4.254 2.683
8.950 2.063 0.000
2.806 0.000 1.342
5.476 0.000 1.342
8.146 0.000 1.342
3.474 4.921 0.000
2.002 2.063 2.683
-2.670 6.984 1.342
0.000 6.984 1.342
2.670 6.984 1.342
-3.474 4.921 2.683
4.058 2.246 0.000
0.000 0.000 1.342
4.058 -2.246 2.683
1.418 9.229 0.000
0.000 0.000 4.025
1.418 4.738 2.683
```

Peak list (10 most intense, 2θ from 10° to 80°, low angle first)
2θ/deg, I/Imax
10.26, 44.3
22.42, 52.7
31.64, 46.7
32.31, 89.8
35.21, 68.7
35.85, 100.0
37.43, 51.5
38.68, 48.5
39.46, 79.9
47.44, 53.1

2.
Simulated PXRD pattern of Ti3O8 for Cu Kα (weighted mean of Kα1 and Kα2), from a structure optimized by DFT (GGA-PBE).
Intensities are scaled so that the largest is 100.

Cell and atoms:
```
Ti3O8
1.0
3.785 0.000 0.000
0.000 3.785 0.000
0.000 0.000 9.323
Ti O
3 8
Cartesian
0.000 0.000 0.000
0.000 1.893 6.816
1.893 0.000 2.507
0.000 0.000 2.027
0.000 0.000 7.296
0.000 1.893 4.867
0.000 1.893 8.916
1.893 0.000 0.407
1.893 0.000 4.455
1.893 1.893 2.777
1.893 1.893 6.546
```

Peak list (10 most intense, 2θ from 10° to 80°, low angle first)
2θ/deg, I/Imax
23.50, 8.6
25.39, 100.0
34.87, 8.3
38.63, 20.9
48.07, 34.1
54.89, 16.5
55.14, 18.6
63.30, 15.1
70.34, 8.5
75.92, 10.3